# Sm2Cu4Ni3
Simulated PXRD pattern, Cu Kα. Input: the PBE geometry in Alexandria.
Peak positions follow from Bragg's law for the DFT cell and can differ from measured ones.

Cell lengths 7.722, 6.821, 5.037 Å; angles 79.72, 60.35, 39.92 degrees
Atoms (fractional coordinates):
Sm 0.131 0.131 0.869
Sm 0.869 0.869 0.131
Cu 0.162 0.505 0.495
Cu 0.495 0.838 0.162
Cu 0.505 0.162 0.838
Cu 0.838 0.495 0.505
Ni 0.000 0.000 0.500
Ni 0.500 0.500 0.000
Ni 0.500 0.500 0.500

Top 6 peaks for 2θ = 10–90°, by angle:
2θ (°)  Rel. int.
29.6  218
36.3  633
41.2  394
41.7  1000
46.5  275
69.0  210

# ThUB12
Simulated PXRD pattern, Cu Kα. Input: the PBE geometry in Alexandria.
Peak positions follow from Bragg's law for the DFT cell and can differ from measured ones.

Cell lengths 4.092, 4.092, 8.181 Å; angles 90.00, 90.00, 90.00 degrees
Atoms (fractional coordinates):
Th 0.000 0.000 0.000
U 0.000 0.000 0.500
B 0.197 0.500 0.252
B 0.197 0.500 0.748
B 0.500 0.197 0.252
B 0.500 0.197 0.748
B 0.500 0.500 0.099
B 0.500 0.500 0.402
B 0.500 0.500 0.598
B 0.500 0.500 0.901
B 0.500 0.803 0.252
B 0.500 0.803 0.748
B 0.803 0.500 0.252
B 0.803 0.500 0.748

Top 6 peaks for 2θ = 10–90°, by angle:
2θ (°)  Rel. int.
21.7  812
30.9  1000
38.1  416
49.8  525
55.0  328
68.8  285

# TlBr2Cl
Simulated PXRD pattern, Cu Kα. Input: the PBE geometry in Alexandria.
Peak positions follow from Bragg's law for the DFT cell and can differ from measured ones.

Cell lengths 5.378, 8.212, 13.066 Å; angles 90.00, 90.00, 90.00 degrees
Atoms (fractional coordinates):
Tl 0.000 0.000 0.000
Tl 0.000 0.500 0.500
Tl 0.500 0.000 0.500
Tl 0.500 0.500 0.000
Br 0.000 0.250 0.250
Br 0.000 0.250 0.750
Br 0.000 0.750 0.250
Br 0.000 0.750 0.750
Br 0.500 0.250 0.250
Br 0.500 0.250 0.750
Br 0.500 0.750 0.250
Br 0.500 0.750 0.750
Cl 0.000 0.000 0.500
Cl 0.000 0.500 0.000
Cl 0.500 0.000 0.000
Cl 0.500 0.500 0.500

Top 6 peaks for 2θ = 10–90°, by angle:
2θ (°)  Rel. int.
20.9  513
25.6  1000
27.3  425
28.5  246
33.3  251
42.5  596

# K3Nb7O19
Simulated PXRD pattern, Cu Kα. Input: the PBE geometry in Alexandria.
Peak positions follow from Bragg's law for the DFT cell and can differ from measured ones.

Cell lengths 6.596, 10.118, 14.398 Å; angles 97.65, 95.41, 106.79 degrees
Atoms (fractional coordinates):
K 0.000 0.177 0.095
K 0.000 0.823 0.905
K 0.354 0.022 0.636
K 0.401 0.586 0.214
K 0.599 0.414 0.786
K 0.646 0.978 0.364
Nb 0.010 0.851 0.190
Nb 0.158 0.222 0.348
Nb 0.168 0.317 0.581
Nb 0.218 0.520 0.961
Nb 0.368 0.623 0.505
Nb 0.380 0.709 0.742
Nb 0.442 0.904 0.108
Nb 0.558 0.096 0.892
Nb 0.620 0.291 0.258
Nb 0.632 0.377 0.495
Nb 0.782 0.480 0.039
Nb 0.832 0.683 0.419
Nb 0.842 0.778 0.652
Nb 0.990 0.149 0.810
O 0.071 0.039 0.281
O 0.085 0.451 0.066
O 0.091 0.730 0.687
O 0.093 0.164 0.473
O 0.107 0.233 0.685
O 0.114 0.652 0.460
O 0.121 0.935 0.090
O 0.130 0.340 0.877
O 0.282 0.525 0.626
O 0.289 0.609 0.838
O 0.291 0.833 0.223
O 0.293 0.113 0.844
O 0.311 0.417 0.453
O 0.328 0.722 0.032
O 0.330 0.315 0.254
O 0.464 0.893 0.804
O 0.473 0.307 0.594
O 0.496 0.218 0.393
O 0.500 0.000 0.000
O 0.500 0.500 0.000
O 0.504 0.782 0.607
O 0.527 0.693 0.406
O 0.536 0.107 0.196
O 0.670 0.685 0.746
O 0.672 0.278 0.968
O 0.689 0.583 0.547
O 0.707 0.887 0.156
O 0.709 0.167 0.777
O 0.711 0.391 0.162
O 0.718 0.475 0.374
O 0.870 0.660 0.123
O 0.879 0.065 0.910
O 0.886 0.348 0.540
O 0.893 0.767 0.315
O 0.907 0.836 0.527
O 0.909 0.270 0.313
O 0.915 0.549 0.934
O 0.929 0.961 0.719

Top 6 peaks for 2θ = 10–90°, by angle:
2θ (°)  Rel. int.
14.3  1000
15.9  768
27.2  805
27.7  535
28.8  750
42.6  821

# BaAcAlTe4
Simulated PXRD pattern, Cu Kα. Input: the PBE geometry in Alexandria.
Peak positions follow from Bragg's law for the DFT cell and can differ from measured ones.

Cell lengths 7.597, 7.671, 9.495 Å; angles 90.00, 107.59, 90.00 degrees
Atoms (fractional coordinates):
Ba 0.248 0.250 0.062
Ba 0.752 0.750 0.938
Ac 0.234 0.250 0.558
Ac 0.766 0.750 0.442
Al 0.226 0.750 0.312
Al 0.774 0.250 0.688
Te 0.009 0.510 0.741
Te 0.009 0.990 0.741
Te 0.417 0.750 0.124
Te 0.419 0.750 0.592
Te 0.581 0.250 0.408
Te 0.583 0.250 0.876
Te 0.991 0.010 0.259
Te 0.991 0.490 0.259

Top 6 peaks for 2θ = 10–90°, by angle:
2θ (°)  Rel. int.
26.2  480
26.3  505
26.5  490
28.7  454
29.0  421
30.6  1000

# Rb2ZnFeCl6
Simulated PXRD pattern, Cu Kα. Input: the PBE geometry in Alexandria.
Peak positions follow from Bragg's law for the DFT cell and can differ from measured ones.

Cell lengths 6.913, 6.913, 6.913 Å; angles 115.63, 115.63, 97.75 degrees
Atoms (fractional coordinates):
Rb 0.250 0.750 0.500
Rb 0.750 0.250 0.500
Zn 0.000 0.000 0.000
Fe 0.500 0.500 0.000
Cl 0.241 0.241 0.000
Cl 0.260 0.260 0.520
Cl 0.260 0.740 0.000
Cl 0.740 0.260 0.000
Cl 0.740 0.740 0.480
Cl 0.759 0.759 0.000

Top 6 peaks for 2θ = 10–90°, by angle:
2θ (°)  Rel. int.
24.2  503
26.0  842
31.3  653
34.4  1000
43.7  416
53.5  508

# Pu2Si3Au5
Simulated PXRD pattern, Cu Kα. Input: the PBE geometry in Alexandria.
Peak positions follow from Bragg's law for the DFT cell and can differ from measured ones.

Cell lengths 4.259, 4.259, 11.069 Å; angles 90.00, 90.00, 90.00 degrees
Atoms (fractional coordinates):
Pu 0.000 0.500 0.235
Pu 0.500 0.000 0.765
Si 0.000 0.000 0.000
Si 0.000 0.500 0.880
Si 0.500 0.000 0.120
Au 0.000 0.000 0.500
Au 0.000 0.500 0.667
Au 0.500 0.000 0.333
Au 0.500 0.500 0.000
Au 0.500 0.500 0.500

Top 6 peaks for 2θ = 10–90°, by angle:
2θ (°)  Rel. int.
26.4  192
32.1  191
33.9  1000
42.5  397
46.2  172
72.2  233